For TiV2O7, a DFT-relaxed cell (PBE+U, Alexandria) gives the computed X-ray diffraction stick pattern in this record (Cu Kα (λ = 1.5418 Å)).
Lines closer than 0.1° are merged.

Largest 10 diffraction maxima, in order of rising 2θ, 15° ≤ 2θ ≤ 90°:
d 4.354, rel. 56, (2 0 0); d 3.895, rel. 100, (2 1 0); d 3.555, rel. 81, (2 1 1); d 3.079, rel. 14, (2 2 0); d 2.626, rel. 15, (3 1 1); d 2.415, rel. 18, (3 0 2); d 2.112, rel. 13, (4 1 0); d 1.900, rel. 19, (4 2 1); d 1.676, rel. 16, (5 1 1); d 1.540, rel. 17, (4 4 0)

Atomic structure:
```
TiV2O7
1.0
8.7089 0.0000 0.0000
0.0000 8.7089 0.0000
0.0000 0.0000 8.7089
Ti V O
4 8 28
direct
0.0000 0.0000 0.0000
0.0000 0.5000 0.5000
0.5000 0.0000 0.5000
0.5000 0.5000 0.0000
0.1187 0.6187 0.8813
0.1187 0.8813 0.3813
0.3813 0.1187 0.8813
0.3813 0.3813 0.3813
0.6187 0.6187 0.6187
0.6187 0.8813 0.1187
0.8813 0.1187 0.6187
0.8813 0.3813 0.1187
0.0000 0.0000 0.5000
0.0000 0.5000 0.0000
0.0641 0.6930 0.4043
0.0641 0.8070 0.9043
0.0957 0.5641 0.6930
0.0957 0.9359 0.1930
0.1930 0.0957 0.9359
0.1930 0.4043 0.4359
0.3070 0.5957 0.9359
0.3070 0.9043 0.4359
0.4043 0.0641 0.6930
0.4043 0.4359 0.1930
0.4359 0.1930 0.4043
0.4359 0.3070 0.9043
0.5000 0.0000 0.0000
0.5000 0.5000 0.5000
0.5641 0.6930 0.0957
0.5641 0.8070 0.5957
0.5957 0.5641 0.8070
0.5957 0.9359 0.3070
0.6930 0.0957 0.5641
0.6930 0.4043 0.0641
0.8070 0.5957 0.5641
0.8070 0.9043 0.0641
0.9043 0.0641 0.8070
0.9043 0.4359 0.3070
0.9359 0.1930 0.0957
0.9359 0.3070 0.5957
```